Starting from the PBE geometry in the Materials Project, the powder diffraction line list of Nd3Si6N11 was computed for Cu Kα, 1.54184 Å.
Intensities are scaled so that the largest is 100.

Crystal structure
abc: 10.1360 10.1360 4.8926
angles: 90.00 90.00 90.00
Space group P4bm (No. 100)
Symmetry-distinct sites (fractional):
Nd: 0.0000 0.0000 0.0000 x2
Nd: 0.1826 0.3174 0.0190 x4
Si: 0.0789 0.7910 0.5470 x8
Si: 0.1173 0.6173 0.0566 x4
N: 0.0000 0.5000 0.0847 x2
N: 0.0756 0.7706 0.1935 x8
N: 0.0799 0.1796 0.6598 x8
N: 0.1533 0.6533 0.7110 x4

Main lines, sorted by position (10 to 90 degrees two-theta):
d/Å  Position (°2θ)  intensity
7.167  12.35  25.1
4.893  18.13  79.8
3.325  26.81  63.4
3.205  27.83  40.1
2.891  30.93  72.7
2.681  33.42  100.0
2.458  36.55  43.7
2.446  36.74  31.6
2.197  41.09  34.9
1.734  52.79  32.3

---

Starting from the PBE geometry in the Materials Project, the powder diffraction line list of Nd3SnN was computed for Cu Kα, 1.54184 Å.
Intensities are scaled so that the largest is 100.

Crystal structure
abc: 5.0141 5.0141 5.0141
angles: 90.00 90.00 90.00
Space group Pm-3m (No. 221)
Symmetry-distinct sites (fractional):
Nd: 0.0000 0.0000 0.5000 x3
Sn: 0.5000 0.5000 0.5000 x1
N: 0.0000 0.0000 0.0000 x1

Main lines, sorted by position (10 to 90 degrees two-theta):
d/Å  Position (°2θ)  intensity
5.014  17.69  1.6
2.895  30.89  100.0
2.507  35.82  55.9
2.242  40.22  0.6
1.773  51.55  39.5
1.512  61.32  43.5
1.447  64.36  13.5
1.254  75.90  6.3
1.150  84.16  18.4
1.121  86.88  18.3

---

Starting from the PBE geometry in the Materials Project, the powder diffraction line list of Nd3TlN was computed for Cu Kα, 1.54184 Å.
Intensities are scaled so that the largest is 100.

Crystal structure
abc: 5.8336 5.8336 5.8336
angles: 90.00 90.00 90.00
Space group Pm-3m (No. 221)
Symmetry-distinct sites (fractional):
Nd: 0.0000 0.0000 0.5000 x3
Tl: 0.0000 0.0000 0.0000 x1
N: 0.5000 0.5000 0.5000 x1

Main lines, sorted by position (10 to 90 degrees two-theta):
d/Å  Position (°2θ)  intensity
5.834  15.19  100.0
3.368  26.46  21.4
2.917  30.65  73.3
2.609  34.38  56.3
2.062  43.90  54.7
1.945  46.71  30.4
1.684  54.49  19.3
1.415  66.03  17.7
1.304  72.46  24.7
1.191  80.69  18.5

---

Starting from the PBE geometry in the Materials Project, the powder diffraction line list of Ni3N was computed for Cu Kα, 1.54184 Å.
Intensities are scaled so that the largest is 100.

Crystal structure
abc: 4.6011 4.6011 4.2939
angles: 90.00 90.00 120.00
Space group P6_322 (No. 182)
Symmetry-distinct sites (fractional):
Ni: 0.0000 0.3294 0.0000 x6
N: 0.3333 0.6667 0.2500 x2

Main lines, sorted by position (10 to 90 degrees two-theta):
d/Å  Position (°2θ)  intensity
2.921  30.61  1.5
2.301  39.16  18.6
2.147  42.09  23.3
2.028  44.69  100.0
1.570  58.83  17.1
1.328  70.96  16.6
1.215  78.74  16.5
1.150  84.17  1.9
1.130  86.08  15.7
1.111  87.87  12.4

---

Starting from the PBE geometry in the Materials Project, the powder diffraction line list of NiOsN2 was computed for Cu Kα, 1.54184 Å.
Intensities are scaled so that the largest is 100.

Crystal structure
abc: 2.8631 2.8631 12.1630
angles: 90.00 90.00 120.00
Space group P6_3/mmc (No. 194)
Symmetry-distinct sites (fractional):
Ni: 0.0000 0.0000 0.0000 x2
Os: 0.3333 0.6667 0.2500 x2
N: 0.0000 0.0000 0.1499 x4

Main lines, sorted by position (10 to 90 degrees two-theta):
d/Å  Position (°2θ)  intensity
6.081  14.57  100.0
3.041  29.37  60.6
2.430  37.00  98.4
2.296  39.24  72.6
2.115  42.75  66.1
1.736  52.71  36.2
1.569  58.84  29.5
1.432  65.17  26.3
1.295  73.05  28.8
1.186  81.08  21.1

---

Starting from the PBE geometry in the Materials Project, the powder diffraction line list of SiNiN2 was computed for Cu Kα, 1.54184 Å.
Intensities are scaled so that the largest is 100.

Crystal structure
abc: 2.7233 2.7233 11.7168
angles: 90.00 90.00 120.00
Space group P6_3/mmc (No. 194)
Symmetry-distinct sites (fractional):
Si: 0.3333 0.6667 0.2500 x2
Ni: 0.0000 0.0000 0.0000 x2
N: 0.0000 0.0000 0.1551 x4

Main lines, sorted by position (10 to 90 degrees two-theta):
d/Å  Position (°2θ)  intensity
5.858  15.12  22.2
2.929  30.52  43.0
2.358  38.16  76.7
2.312  38.96  14.6
2.188  41.27  100.0
1.837  49.63  13.3
1.504  61.67  56.2
1.362  68.97  26.5
1.235  77.27  18.4
1.156  83.65  12.1

---

Copy entry 6 word for word.
Starting from the PBE geometry in the Materials Project, the powder diffraction line list of SiNiN2 was computed for Cu Kα, 1.54184 Å.
Intensities are scaled so that the largest is 100.

Crystal structure
abc: 2.7233 2.7233 11.7168
angles: 90.00 90.00 120.00
Space group P6_3/mmc (No. 194)
Symmetry-distinct sites (fractional):
Si: 0.3333 0.6667 0.2500 x2
Ni: 0.0000 0.0000 0.0000 x2
N: 0.0000 0.0000 0.1551 x4

Main lines, sorted by position (10 to 90 degrees two-theta):
d/Å  Position (°2θ)  intensity
5.858  15.12  22.2
2.929  30.52  43.0
2.358  38.16  76.7
2.312  38.96  14.6
2.188  41.27  100.0
1.837  49.63  13.3
1.504  61.67  56.2
1.362  68.97  26.5
1.235  77.27  18.4
1.156  83.65  12.1

---

What is the formula in the second record?
Nd3SnN